KBi3Au2: computed XRD peak list (Cu Kα, 1.54184 Å), based on a DFT-relaxed cell (PBE, Alexandria).
No peak broadening, texture or thermal motion is included.

Structural model:
```
KBi3Au2
1.0
10.0119 -2.3531 0.0000
10.0119 2.3531 0.0000
-3.3610 0.0000 11.6284
K Bi Au
3 9 6
Direct
0.0000 0.0000 0.0000
0.1529 0.1529 0.6963
0.8471 0.8471 0.3037
0.0397 0.0397 0.3322
0.2143 0.2143 0.3827
0.3283 0.3283 0.0477
0.3738 0.3738 0.8073
0.5000 0.5000 0.5000
0.6262 0.6262 0.1927
0.6717 0.6717 0.9523
0.7857 0.7857 0.6173
0.9603 0.9603 0.6678
0.1877 0.1877 0.1034
0.3563 0.3563 0.5354
0.4626 0.4626 0.2074
0.5374 0.5374 0.7926
0.6437 0.6437 0.4646
0.8123 0.8123 0.8966
```

Most intense lines, 2θ = 10–90°, low angle first:
d 6.570, 13.48°, intensity 51; d 5.730, 15.47°, intensity 30; d 3.058, 29.21°, intensity 100; d 2.529, 35.49°, intensity 39; d 2.443, 36.79°, intensity 44; d 2.383, 37.75°, intensity 42; d 2.373, 37.91°, intensity 26; d 2.354, 38.24°, intensity 58; d 2.348, 38.33°, intensity 38; d 1.723, 53.16°, intensity 27

NaTlBi4: computed XRD peak list (Cu Kα, 1.54184 Å), based on a DFT-relaxed cell (PBE, Alexandria).
No peak broadening, texture or thermal motion is included.

Structural model:
```
NaTlBi4
1.0
3.4163 -9.8489 0.0000
3.4163 9.8489 0.0000
0.0000 0.0000 5.7075
Na Tl Bi
2 2 8
Direct
0.1241 0.8759 0.7500
0.8759 0.1241 0.2500
0.3744 0.6256 0.2500
0.6256 0.3744 0.7500
0.0394 0.4592 0.7500
0.2114 0.2935 0.7500
0.2935 0.2114 0.2500
0.4592 0.0394 0.2500
0.5408 0.9606 0.7500
0.7065 0.7886 0.7500
0.7886 0.7065 0.2500
0.9606 0.5408 0.2500
```

Most intense lines, 2θ = 10–90°, low angle first:
d 4.933, 17.98°, intensity 12; d 3.416, 26.08°, intensity 19; d 2.848, 31.41°, intensity 100; d 2.809, 31.86°, intensity 71; d 2.188, 41.27°, intensity 33; d 2.000, 45.34°, intensity 27; d 1.646, 55.85°, intensity 14; d 1.640, 56.08°, intensity 16; d 1.636, 56.24°, intensity 20; d 1.465, 63.50°, intensity 28

Ca2Sb4PdRh3: computed XRD peak list (Cu Kα, 1.54184 Å), based on a DFT-relaxed cell (PBE, Alexandria).
No peak broadening, texture or thermal motion is included.

Structural model:
```
Ca2Sb4PdRh3
1.0
4.5613 0.0000 0.0000
0.0000 4.5613 0.0000
0.0000 0.0000 10.6077
Ca Sb Pd Rh
2 4 1 3
Direct
0.0000 0.5000 0.2455
0.5000 0.0000 0.7545
0.0000 0.0000 0.5000
0.0000 0.5000 0.8697
0.5000 0.0000 0.1303
0.5000 0.5000 0.5000
0.5000 0.5000 0.0000
0.0000 0.0000 0.0000
0.0000 0.5000 0.6258
0.5000 0.0000 0.3742
```

Most intense lines, 2θ = 10–90°, low angle first:
d 5.304, 16.72°, intensity 51; d 4.190, 21.20°, intensity 54; d 2.795, 32.03°, intensity 49; d 2.756, 32.49°, intensity 100; d 2.281, 39.51°, intensity 92; d 2.048, 44.22°, intensity 92; d 1.767, 51.73°, intensity 28; d 1.613, 57.11°, intensity 30; d 1.392, 67.27°, intensity 23; d 1.267, 74.95°, intensity 38

Dy3Be2Co4: computed XRD peak list (Cu Kα, 1.54184 Å), based on a DFT-relaxed cell (PBE, Alexandria).
No peak broadening, texture or thermal motion is included.

Structural model:
```
Dy3Be2Co4
1.0
3.8388 0.0000 0.0000
-1.9194 3.3245 0.0000
0.0000 0.0000 23.5996
Dy Be Co
6 4 8
Direct
0.0000 0.0000 0.0837
0.0000 0.0000 0.2477
0.0000 0.0000 0.4146
0.0000 0.0000 0.5854
0.0000 0.0000 0.7523
0.0000 0.0000 0.9163
0.3333 0.6667 0.5000
0.6667 0.3333 0.1655
0.6667 0.3333 0.5000
0.6667 0.3333 0.8345
0.3333 0.6667 0.0000
0.3333 0.6667 0.1658
0.3333 0.6667 0.3315
0.3333 0.6667 0.6685
0.3333 0.6667 0.8342
0.6667 0.3333 0.0000
0.6667 0.3333 0.3320
0.6667 0.3333 0.6680
```

Most intense lines, 2θ = 10–90°, low angle first:
d 7.867, 11.25°, intensity 8; d 3.324, 26.82°, intensity 34; d 2.539, 35.35°, intensity 100; d 1.967, 46.16°, intensity 11; d 1.919, 47.36°, intensity 32; d 1.693, 54.19°, intensity 10; d 1.531, 60.46°, intensity 21; d 1.374, 68.28°, intensity 20; d 1.220, 78.41°, intensity 9; d 1.197, 80.19°, intensity 18